Calculated powder X-ray diffraction pattern
Compound: Ti5Fe7O18
Radiation: Cu Kα X-rays
Structure: a DFT-relaxed cell (GGA+U, the Materials Project)
Lines closer than 0.1° are merged.

Atomic structure:
```
Ti5Fe7O18
1.0
5.594 0.000 0.000
0.884 9.145 0.000
0.635 0.390 12.746
Ti Fe O
10 14 36
Direct
0.000 0.000 0.000 Ti
0.000 0.331 0.659 Ti
0.004 0.673 0.824 Ti
0.005 0.667 0.324 Ti
0.091 0.364 0.424 Ti
0.500 0.842 0.657 Ti
0.507 0.166 0.327 Ti
0.518 0.499 0.990 Ti
0.587 0.194 0.093 Ti
0.593 0.859 0.424 Ti
0.010 0.004 0.493 Fe
0.010 0.341 0.161 Fe
0.083 0.692 0.591 Fe
0.089 0.027 0.260 Fe
0.093 0.032 0.756 Fe
0.093 0.698 0.090 Fe
0.097 0.357 0.922 Fe
0.504 0.834 0.159 Fe
0.507 0.502 0.496 Fe
0.511 0.168 0.826 Fe
0.584 0.526 0.758 Fe
0.585 0.528 0.257 Fe
0.588 0.196 0.590 Fe
0.588 0.861 0.923 Fe
0.125 0.142 0.900 O
0.136 0.588 0.952 O
0.137 0.471 0.565 O
0.140 0.803 0.232 O
0.149 0.250 0.302 O
0.158 0.910 0.630 O
0.274 0.206 0.694 O
0.276 0.876 0.025 O
0.281 0.539 0.360 O
0.285 0.659 0.737 O
0.319 0.328 0.054 O
0.325 0.991 0.390 O
0.441 0.388 0.861 O
0.445 0.607 0.110 O
0.453 0.060 0.184 O
0.454 0.276 0.449 O
0.454 0.945 0.784 O
0.462 0.727 0.523 O
0.638 0.301 0.228 O
0.644 0.751 0.300 O
0.644 0.968 0.566 O
0.650 0.091 0.968 O
0.652 0.420 0.631 O
0.655 0.633 0.897 O
0.770 0.703 0.701 O
0.774 0.038 0.360 O
0.795 0.374 0.019 O
0.811 0.835 0.055 O
0.812 0.164 0.720 O
0.821 0.490 0.391 O
0.947 0.558 0.189 O
0.947 0.779 0.447 O
0.948 0.116 0.119 O
0.956 0.442 0.789 O
0.964 0.227 0.518 O
0.968 0.872 0.852 O
```

Peak list (6 most intense, 2θ from 5° to 70°, in order of rising 2θ)
(1 3 0), 2θ 32.16, I 1000; (1 1 4), 2θ 32.49, I 478; (-1 1 4), 2θ 34.70, I 362; (1 -3 0), 2θ 34.85, I 692; (2 2 -4), 2θ 47.74, I 195; (2 4 -2), 2θ 52.16, I 257